Starting from the PBE geometry in Alexandria, the XRD peak list of PaZn8Fe4 was calculated for CuKα.
Lines closer than 0.1° are merged.

Main lines, by angle (2θ from 10° to 80°):
- (2 1 1), 2θ 29.1, d = 3.070 Å, intensity 28
- (3 0 1), 2θ 35.8, d = 2.509 Å, intensity 34
- (0 0 2), 2θ 36.0, d = 2.497 Å, intensity 15
- (4 0 0), 2θ 41.5, d = 2.174 Å, intensity 100
- (2 0 2), 2θ 41.7, d = 2.166 Å, intensity 37
- (6 3 1), 2θ 75.7, d = 1.256 Å, intensity 17

```
data_PaZn8Fe4
_chemical_formula_sum 'Pa2 Zn16 Fe8'
_space_group_name_H-M_alt 'I 4/m m m'
_space_group_IT_number 139
_space_group_name_Hall '-I 4 2'
_cell_length_a 8.7038
_cell_length_b 8.7038
_cell_length_c 4.9939
_cell_angle_alpha 90.00
_cell_angle_beta 90.00
_cell_angle_gamma 90.00
loop_
_atom_site_label
_atom_site_type_symbol
_atom_site_fract_x
_atom_site_fract_y
_atom_site_fract_z
Pa1 Pa 0.0000 0.0000 0.0000
Zn1 Zn 0.0000 0.2259 0.5000
Zn2 Zn 0.0000 0.3433 0.0000
Fe1 Fe 0.2500 0.2500 0.2500
```

Starting from the PBE geometry in Alexandria, the XRD peak list of Ce2MgGe2Ir5 was calculated for CuKα.
Lines closer than 0.1° are merged.

Main lines, by angle (2θ from 10° to 80°):
- (2 1 1), 2θ 31.5, d = 2.836 Å, intensity 22
- (4 1 0), 2θ 37.7, d = 2.383 Å, intensity 100
- (3 2 1), 2θ 41.1, d = 2.197 Å, intensity 46
- (0 0 2), 2θ 49.1, d = 1.857 Å, intensity 18
- (4 1 2), 2θ 63.5, d = 1.465 Å, intensity 25
- (5 4 1), 2θ 65.8, d = 1.418 Å, intensity 17

```
data_Ce2MgGe2Ir5
_chemical_formula_sum 'Ce4 Mg2 Ge4 Ir10'
_space_group_name_H-M_alt 'P 4/m b m'
_space_group_IT_number 127
_space_group_name_Hall '-P 4 2ab'
_cell_length_a 9.8274
_cell_length_b 9.8274
_cell_length_c 3.7133
_cell_angle_alpha 90.00
_cell_angle_beta 90.00
_cell_angle_gamma 90.00
loop_
_atom_site_label
_atom_site_type_symbol
_atom_site_fract_x
_atom_site_fract_y
_atom_site_fract_z
Ce1 Ce 0.1758 0.3242 0.0000
Mg1 Mg 0.0000 0.0000 0.0000
Ge1 Ge 0.1236 0.6236 0.0000
Ir1 Ir 0.0000 0.5000 0.5000
Ir2 Ir 0.0671 0.7879 0.5000
```

Starting from the PBE geometry in Alexandria, the XRD peak list of CsTlP2 was calculated for CuKα.
Lines closer than 0.1° are merged.

Main lines, by angle (2θ from 10° to 80°):
- (0 0 4), 2θ 18.8, d = 4.729 Å, intensity 32
- (1 1 2), 2θ 25.4, d = 3.513 Å, intensity 100
- (2 0 0), 2θ 33.5, d = 2.675 Å, intensity 24
- (1 1 6), 2θ 37.1, d = 2.422 Å, intensity 37
- (2 0 4), 2θ 38.7, d = 2.329 Å, intensity 33
- (3 1 2), 2θ 55.1, d = 1.666 Å, intensity 24

```
data_CsTlP2
_chemical_formula_sum 'Cs4 Tl4 P8'
_space_group_name_H-M_alt 'I 41/a m d'
_space_group_IT_number 141
_cell_length_a 5.3507
_cell_length_b 5.3507
_cell_length_c 18.9165
_cell_angle_alpha 90.00
_cell_angle_beta 90.00
_cell_angle_gamma 90.00
loop_
_space_group_symop_operation_xyz
'x,y,z'
'-x,-y,-z'
'-y+1/4,x+3/4,z+1/4'
'y+1/4,-x+3/4,-z+1/4'
'-x+1/2,-y,z+1/2'
'x+1/2,y,-z+1/2'
'y+1/4,-x+1/4,z+3/4'
'-y+1/4,x+1/4,-z+3/4'
'x,-y,-z'
'-x,y,z'
'-y+1/4,-x+1/4,-z+3/4'
'y+1/4,x+1/4,z+3/4'
'-x+1/2,y,-z+1/2'
'x+1/2,-y,z+1/2'
'y+1/4,x+3/4,-z+1/4'
'-y+1/4,-x+3/4,z+1/4'
'x+1/2,y+1/2,z+1/2'
'-x+1/2,-y+1/2,-z+1/2'
'-y+3/4,x+1/4,z+3/4'
'y+3/4,-x+1/4,-z+3/4'
'-x,-y+1/2,z'
'x,y+1/2,-z'
'y+3/4,-x+3/4,z+1/4'
'-y+3/4,x+3/4,-z+1/4'
'x+1/2,-y+1/2,-z+1/2'
'-x+1/2,y+1/2,z+1/2'
'-y+3/4,-x+3/4,-z+1/4'
'y+3/4,x+3/4,z+1/4'
'-x,y+1/2,-z'
'x,-y+1/2,z'
'y+3/4,x+1/4,-z+3/4'
'-y+3/4,-x+1/4,z+3/4'
loop_
_atom_site_label
_atom_site_type_symbol
_atom_site_fract_x
_atom_site_fract_y
_atom_site_fract_z
Cs1 Cs 0.0000 0.2500 0.3750
Tl1 Tl 0.0000 0.2500 0.8750
P1 P 0.0000 0.0000 0.0000
```

Starting from the PBE geometry in Alexandria, the XRD peak list of Tb2Mg3Ag3 was calculated for CuKα.
Lines closer than 0.1° are merged.

Main lines, by angle (2θ from 10° to 80°):
- (0 1 2), 2θ 21.7, d = 4.096 Å, intensity 48
- (1 1 0), 2θ 35.8, d = 2.510 Å, intensity 100
- (0 1 8), 2θ 36.0, d = 2.496 Å, intensity 92
- (1 1 6), 2θ 42.3, d = 2.137 Å, intensity 29
- (2 0 8), 2θ 51.6, d = 1.770 Å, intensity 32
- (1 2 8), 2θ 64.4, d = 1.447 Å, intensity 32

```
data_Tb2Mg3Ag3
_chemical_formula_sum 'Tb6 Mg9 Ag9'
_space_group_name_H-M_alt 'R 3 m'
_space_group_IT_number 160
_space_group_name_Hall 'R 3 -2"'
_cell_length_a 5.0209
_cell_length_b 5.0209
_cell_length_c 24.3862
_cell_angle_alpha 90.00
_cell_angle_beta 90.00
_cell_angle_gamma 120.00
loop_
_atom_site_label
_atom_site_type_symbol
_atom_site_fract_x
_atom_site_fract_y
_atom_site_fract_z
Tb1 Tb 0.0000 0.0000 0.0000
Tb2 Tb 0.0000 0.0000 0.4896
Mg1 Mg 0.0000 0.0000 0.2483
Mg2 Mg 0.0000 0.0000 0.7424
Mg3 Mg 0.0000 0.0000 0.8711
Ag1 Ag 0.0000 0.0000 0.1270
Ag2 Ag 0.0000 0.0000 0.3665
Ag3 Ag 0.0000 0.0000 0.6153
```

Starting from the PBE geometry in Alexandria, the XRD peak list of Ce2HoAg6 was calculated for CuKα.
Lines closer than 0.1° are merged.

Main lines, by angle (2θ from 10° to 80°):
- (1 1 1), 2θ 35.0, d = 2.566 Å, intensity 100
- (3 0 0), 2θ 36.7, d = 2.448 Å, intensity 90
- (2 2 1), 2θ 51.6, d = 1.771 Å, intensity 32
- (4 1 1), 2θ 65.0, d = 1.435 Å, intensity 32
- (3 3 0), 2θ 66.1, d = 1.413 Å, intensity 15
- (3 0 2), 2θ 69.9, d = 1.346 Å, intensity 26

```
data_Ce2HoAg6
_chemical_formula_sum 'Ce2 Ho1 Ag6'
_space_group_name_H-M_alt 'P 6/m m m'
_space_group_IT_number 191
_space_group_name_Hall '-P 6 2'
_cell_length_a 8.4788
_cell_length_b 8.4788
_cell_length_c 3.2237
_cell_angle_alpha 90.00
_cell_angle_beta 90.00
_cell_angle_gamma 120.00
loop_
_atom_site_label
_atom_site_type_symbol
_atom_site_fract_x
_atom_site_fract_y
_atom_site_fract_z
Ce1 Ce 0.3333 0.6667 0.0000
Ho1 Ho 0.0000 0.0000 0.0000
Ag1 Ag 0.0000 0.3303 0.5000
```

Starting from the PBE geometry in Alexandria, the XRD peak list of ZrFe2Te was calculated for CuKα.
Lines closer than 0.1° are merged.

Main lines, by angle (2θ from 10° to 80°):
- (1 0 0), 2θ 25.6, d = 3.484 Å, intensity 15
- (1 1 0), 2θ 36.5, d = 2.464 Å, intensity 70
- (1 0 2), 2θ 40.8, d = 2.211 Å, intensity 100
- (2 0 0), 2θ 52.5, d = 1.742 Å, intensity 24
- (2 1 2), 2θ 68.6, d = 1.368 Å, intensity 40
- (1 1 4), 2θ 77.1, d = 1.237 Å, intensity 14

```
data_ZrFe2Te
_chemical_formula_sum 'Zr1 Fe2 Te1'
_space_group_name_H-M_alt 'P 4/m m m'
_space_group_IT_number 123
_space_group_name_Hall '-P 4 2'
_cell_length_a 3.4844
_cell_length_b 3.4844
_cell_length_c 5.7199
_cell_angle_alpha 90.00
_cell_angle_beta 90.00
_cell_angle_gamma 90.00
loop_
_atom_site_label
_atom_site_type_symbol
_atom_site_fract_x
_atom_site_fract_y
_atom_site_fract_z
Zr1 Zr 0.0000 0.0000 0.0000
Fe1 Fe 0.5000 0.5000 0.2374
Te1 Te 0.0000 0.0000 0.5000
```